[1]
Starting from a GGA-PBE-relaxed structure, the PXRD pattern of CeHo2H8 was computed for Cu Kα X-rays.
No peak broadening, texture or thermal motion is included.

```
data_CeHo2H8
_cell_length_a 3.650
_cell_length_b 5.322
_cell_length_c 10.977
_cell_angle_alpha 90.00
_cell_angle_beta 90.00
_cell_angle_gamma 90.00
_space_group_name_H-M_alt 'I m m m'
_space_group_IT_number 71
_space_group_name_Hall '-I 2 2'
loop_
_atom_site_label
_atom_site_type_symbol
_atom_site_fract_x
_atom_site_fract_y
_atom_site_fract_z
Ce1 Ce 0.000 0.000 0.000
Ho1 Ho 0.000 0.000 0.330
H1 H 0.000 0.217 0.500
H2 H 0.000 0.266 0.166
H3 H 0.000 0.500 0.345
```

Top 11 peaks for 2θ from 5° to 70°, by angle:
- 2θ 16.1, intensity 1
- 2θ 29.7, intensity 100
- 2θ 33.7, intensity 18
- 2θ 34.7, intensity 33
- 2θ 49.1, intensity 26
- 2θ 49.8, intensity 6
- 2θ 50.0, intensity 6
- 2θ 57.8, intensity 15
- 2θ 59.1, intensity 29
- 2θ 61.5, intensity 6
- 2θ 61.6, intensity 6

[2]
Starting from a GGA-PBE-relaxed structure, the PXRD pattern of La3Cd7Ag4 was computed for Cu Kα X-rays.
No peak broadening, texture or thermal motion is included.

```
data_La3Cd7Ag4
_cell_length_a 17.203
_cell_length_b 4.819
_cell_length_c 9.853
_cell_angle_alpha 90.00
_cell_angle_beta 123.19
_cell_angle_gamma 90.00
_space_group_name_H-M_alt 'C 1 2/m 1'
_space_group_IT_number 12
_space_group_name_Hall '-C 2y'
loop_
_atom_site_label
_atom_site_type_symbol
_atom_site_fract_x
_atom_site_fract_y
_atom_site_fract_z
La1 La 0.000 0.000 0.000
La2 La 0.202 0.500 0.701
Cd1 Cd 0.000 0.000 0.500
Cd2 Cd 0.000 0.500 0.307
Cd3 Cd 0.144 0.000 0.425
Cd4 Cd 0.171 0.500 0.021
Ag1 Ag 0.129 0.000 0.842
Ag2 Ag 0.161 0.500 0.293
```

Top 12 peaks for 2θ from 5° to 70°, by angle:
- 2θ 31.7, intensity 94
- 2θ 32.1, intensity 34
- 2θ 32.3, intensity 85
- 2θ 32.6, intensity 29
- 2θ 33.0, intensity 59
- 2θ 35.1, intensity 27
- 2θ 35.7, intensity 42
- 2θ 36.3, intensity 33
- 2θ 37.3, intensity 100
- 2θ 37.5, intensity 50
- 2θ 41.2, intensity 26
- 2θ 53.9, intensity 34

[3]
Starting from a GGA-PBE-relaxed structure, the PXRD pattern of Ho8Er2In was computed for Cu Kα X-rays.
No peak broadening, texture or thermal motion is included.

```
data_Ho8Er2In
_cell_length_a 5.368
_cell_length_b 7.477
_cell_length_c 17.121
_cell_angle_alpha 90.00
_cell_angle_beta 90.00
_cell_angle_gamma 90.00
_space_group_name_H-M_alt 'I m m m'
_space_group_IT_number 71
_space_group_name_Hall '-I 2 2'
loop_
_atom_site_label
_atom_site_type_symbol
_atom_site_fract_x
_atom_site_fract_y
_atom_site_fract_z
Ho1 Ho 0.000 0.000 0.182
Ho2 Ho 0.000 0.232 0.362
Ho3 Ho 0.000 0.260 0.000
Er1 Er 0.000 0.500 0.194
In1 In 0.000 0.500 0.500
```

Top 12 peaks for 2θ from 5° to 70°, by angle:
- 2θ 26.0, intensity 12
- 2θ 31.0, intensity 26
- 2θ 31.3, intensity 16
- 2θ 33.2, intensity 100
- 2θ 33.4, intensity 30
- 2θ 46.4, intensity 11
- 2θ 48.7, intensity 10
- 2θ 49.0, intensity 12
- 2θ 58.9, intensity 8
- 2θ 59.5, intensity 19
- 2θ 60.3, intensity 10
- 2θ 60.6, intensity 13

[4]
Starting from a GGA-PBE-relaxed structure, the PXRD pattern of Hf2ZrGa3 was computed for Cu Kα X-rays.
No peak broadening, texture or thermal motion is included.

```
data_Hf2ZrGa3
_cell_length_a 14.171
_cell_length_b 5.479
_cell_length_c 6.374
_cell_angle_alpha 90.00
_cell_angle_beta 103.03
_cell_angle_gamma 90.00
_space_group_name_H-M_alt 'C 1 2/c 1'
_space_group_IT_number 15
_space_group_name_Hall '-C 2yc'
loop_
_atom_site_label
_atom_site_type_symbol
_atom_site_fract_x
_atom_site_fract_y
_atom_site_fract_z
Hf1 Hf 0.167 0.001 0.083
Zr1 Zr 0.000 0.498 0.750
Ga1 Ga 0.000 0.002 0.250
Ga2 Ga 0.168 0.499 0.584
```

Top 12 peaks for 2θ from 5° to 70°, by angle:
- 2θ 12.8, intensity 8
- 2θ 17.4, intensity 8
- 2θ 25.3, intensity 25
- 2θ 32.5, intensity 13
- 2θ 32.7, intensity 57
- 2θ 34.2, intensity 100
- 2θ 39.1, intensity 35
- 2θ 48.0, intensity 77
- 2θ 51.9, intensity 30
- 2θ 57.9, intensity 11
- 2θ 67.8, intensity 13
- 2θ 68.1, intensity 13

[5]
Starting from a GGA-PBE-relaxed structure, the PXRD pattern of RbInCuSe3 was computed for Cu Kα X-rays.
No peak broadening, texture or thermal motion is included.

```
data_RbInCuSe3
_cell_length_a 9.398
_cell_length_b 4.019
_cell_length_c 9.792
_cell_angle_alpha 90.00
_cell_angle_beta 108.31
_cell_angle_gamma 90.00
_space_group_name_H-M_alt 'P 1 21/m 1'
_space_group_IT_number 11
_space_group_name_Hall '-P 2yb'
loop_
_atom_site_label
_atom_site_type_symbol
_atom_site_fract_x
_atom_site_fract_y
_atom_site_fract_z
Rb1 Rb 0.199 0.250 0.240
In1 In 0.340 0.750 0.875
Cu1 Cu 0.070 0.250 0.593
Se1 Se 0.131 0.250 0.857
Se2 Se 0.193 0.750 0.545
Se3 Se 0.473 0.750 0.167
```

Top 12 peaks for 2θ from 5° to 70°, by angle:
- 2θ 11.4, intensity 100
- 2θ 27.3, intensity 15
- 2θ 28.8, intensity 28
- 2θ 29.4, intensity 78
- 2θ 29.9, intensity 42
- 2θ 33.5, intensity 25
- 2θ 35.4, intensity 16
- 2θ 44.1, intensity 27
- 2θ 45.1, intensity 25
- 2θ 46.9, intensity 26
- 2θ 54.3, intensity 21
- 2θ 54.4, intensity 14

[6]
Starting from a GGA-PBE-relaxed structure, the PXRD pattern of CsCoRu was computed for Cu Kα X-rays.
No peak broadening, texture or thermal motion is included.

```
data_CsCoRu
_cell_length_a 3.710
_cell_length_b 3.751
_cell_length_c 12.449
_cell_angle_alpha 90.28
_cell_angle_beta 98.48
_cell_angle_gamma 90.00
_space_group_name_H-M_alt 'P 1'
_space_group_IT_number 1
_space_group_name_Hall 'P 1'
loop_
_atom_site_label
_atom_site_type_symbol
_atom_site_fract_x
_atom_site_fract_y
_atom_site_fract_z
Cs1 Cs 0.000 0.000 0.000
Cs2 Cs 0.264 0.505 0.612
Co1 Co 0.586 0.004 0.246
Co2 Co 0.643 0.506 0.366
Ru1 Ru 0.080 0.504 0.238
Ru2 Ru 0.148 0.006 0.374
```

Top 12 peaks for 2θ from 5° to 70°, by angle:
- 2θ 7.2, intensity 100
- 2θ 21.7, intensity 21
- 2θ 24.3, intensity 14
- 2θ 24.8, intensity 11
- 2θ 26.4, intensity 8
- 2θ 36.5, intensity 8
- 2θ 38.7, intensity 23
- 2θ 38.8, intensity 23
- 2θ 48.5, intensity 7
- 2θ 49.1, intensity 8
- 2θ 53.6, intensity 9
- 2θ 53.8, intensity 9

[7]
Starting from a GGA-PBE-relaxed structure, the PXRD pattern of Mg2Os was computed for Cu Kα X-rays.
No peak broadening, texture or thermal motion is included.

```
data_Mg2Os
_cell_length_a 5.610
_cell_length_b 4.488
_cell_length_c 8.431
_cell_angle_alpha 90.00
_cell_angle_beta 90.00
_cell_angle_gamma 90.00
_space_group_name_H-M_alt 'P n m a'
_space_group_IT_number 62
_space_group_name_Hall '-P 2ac 2n'
loop_
_atom_site_label
_atom_site_type_symbol
_atom_site_fract_x
_atom_site_fract_y
_atom_site_fract_z
Mg1 Mg 0.095 0.250 0.122
Mg2 Mg 0.221 0.250 0.795
Os1 Os 0.088 0.250 0.481
```

Top 12 peaks for 2θ from 5° to 70°, by angle:
- 2θ 19.0, intensity 100
- 2θ 21.1, intensity 51
- 2θ 27.6, intensity 26
- 2θ 35.7, intensity 30
- 2θ 37.8, intensity 46
- 2θ 40.2, intensity 22
- 2θ 41.2, intensity 21
- 2θ 43.7, intensity 30
- 2θ 44.8, intensity 23
- 2θ 45.8, intensity 14
- 2θ 54.2, intensity 20
- 2θ 54.9, intensity 17